The following is a calculated powder diffraction line list of MgCo4O4F4. It was derived from a crystal structure in the Materials Project, relaxed with PBE+U, using λ = 1.5418 Å (Cu Kα).
Lines closer than 0.1° are merged.

Top 10 peaks for 10° ≤ 2θ ≤ 90°, by angle:
2θ/deg, I (rel.), (hkl)
24.35, 100, 1 1 0
25.03, 91, 1 -1 0
35.24, 26, 0 1 2
35.54, 27, 1 0 2
35.66, 24, 1 0 -2
35.77, 24, 0 1 -2
39.89, 25, 1 1 -2
49.93, 22, 2 2 0
51.27, 22, -2 1 2
51.44, 35, 2 -1 2

Atomic structure:
```
data_MgCo4O4F4
_symmetry_space_group_name_H-M 'P 1'
_symmetry_Int_Tables_number 1
_symmetry_space_group_name_Hall 'P 1'
_cell_length_a 5.074
_cell_length_b 5.128
_cell_length_c 5.814
_cell_angle_alpha 89.04
_cell_angle_beta 89.75
_cell_angle_gamma 88.43
loop_
_atom_site_label
_atom_site_type_symbol
_atom_site_fract_x
_atom_site_fract_y
_atom_site_fract_z
Mg1 Mg 0.000 0.000 0.000
Co1 Co 0.100 0.555 0.731
Co2 Co 0.482 0.089 0.983
Co3 Co 0.541 0.957 0.485
Co4 Co 0.968 0.463 0.266
O1 O 0.194 0.338 0.010
O2 O 0.307 0.885 0.770
O3 O 0.717 0.159 0.220
O4 O 0.825 0.660 0.487
F1 F 0.251 0.322 0.484
F2 F 0.263 0.854 0.233
F3 F 0.762 0.147 0.750
F4 F 0.808 0.678 0.990
```

The following is a calculated powder diffraction line list of MgCo6O10F2. It was derived from a crystal structure in the Materials Project, relaxed with PBE+U, using λ = 1.5418 Å (Cu Kα).
Lines closer than 0.1° are merged.

Top 10 peaks for 10° ≤ 2θ ≤ 90°, by angle:
2θ/deg, I (rel.), (hkl)
18.62, 15, 1 0 -1
20.73, 31, 1 0 -2
24.34, 46, 1 0 -3
28.23, 81, 1 0 3
28.91, 49, 1 0 -4
36.65, 100, 0 1 3
55.51, 17, 2 1 3
55.72, 21, 1 1 6
56.43, 36, 2 1 -5
65.30, 19, 0 2 0

Atomic structure:
```
data_MgCo6O10F2
_symmetry_space_group_name_H-M 'P 1 m 1'
_symmetry_Int_Tables_number 6
_symmetry_space_group_name_Hall 'P -2y'
_cell_length_a 4.857
_cell_length_b 2.858
_cell_length_c 14.436
_cell_angle_alpha 90.00
_cell_angle_beta 98.32
_cell_angle_gamma 90.00
loop_
_atom_site_label
_atom_site_type_symbol
_atom_site_fract_x
_atom_site_fract_y
_atom_site_fract_z
Mg1 Mg 0.000 0.000 0.000
Co1 Co 0.061 0.500 0.509
Co2 Co 0.124 0.500 0.802
Co3 Co 0.491 0.000 0.366
Co4 Co 0.502 0.000 0.999
Co5 Co 0.622 0.000 0.646
Co6 Co 0.839 0.500 0.199
O1 O 0.223 0.000 0.890
O2 O 0.257 0.000 0.573
O3 O 0.296 0.500 0.044
O4 O 0.335 0.500 0.424
O5 O 0.602 0.500 0.296
O6 O 0.702 0.500 0.952
O7 O 0.765 0.000 0.107
O8 O 0.768 0.500 0.586
O9 O 0.865 0.000 0.447
O10 O 0.938 0.000 0.737
F1 F 0.100 0.000 0.262
F2 F 0.463 0.500 0.725
```

The following is a calculated powder diffraction line list of MgCo6O10F2. It was derived from a crystal structure in the Materials Project, relaxed with PBE+U, using λ = 1.5418 Å (Cu Kα).
Lines closer than 0.1° are merged.

Top 10 peaks for 10° ≤ 2θ ≤ 90°, by angle:
2θ/deg, I (rel.), (hkl)
26.11, 54, 1 0 -3
27.39, 100, 1 0 3
31.24, 52, 1 0 -4
36.13, 37, 1 1 0
36.85, 63, 0 1 3
53.76, 22, 2 1 3
55.26, 28, 2 1 -4
55.36, 24, 1 1 6
59.52, 25, 1 1 -7
64.54, 23, 0 2 0

Atomic structure:
```
data_MgCo6O10F2
_symmetry_space_group_name_H-M 'P 1 m 1'
_symmetry_Int_Tables_number 6
_symmetry_space_group_name_Hall 'P -2y'
_cell_length_a 4.893
_cell_length_b 2.888
_cell_length_c 13.675
_cell_angle_alpha 90.00
_cell_angle_beta 92.68
_cell_angle_gamma 90.00
loop_
_atom_site_label
_atom_site_type_symbol
_atom_site_fract_x
_atom_site_fract_y
_atom_site_fract_z
Mg1 Mg 0.000 0.000 0.000
Co1 Co 0.309 0.000 0.331
Co2 Co 0.430 0.000 0.658
Co3 Co 0.504 0.000 0.945
Co4 Co 0.791 0.500 0.189
Co5 Co 0.816 0.500 0.481
Co6 Co 0.976 0.500 0.803
O1 O 0.148 0.500 0.395
O2 O 0.171 0.000 0.867
O3 O 0.245 0.500 0.713
O4 O 0.464 0.500 0.263
O5 O 0.567 0.500 0.585
O6 O 0.625 0.000 0.415
O7 O 0.712 0.000 0.098
O8 O 0.767 0.500 0.923
O9 O 0.772 0.000 0.751
O10 O 0.992 0.000 0.244
F1 F 0.030 0.000 0.550
F2 F 0.250 0.500 0.039
```

The following is a calculated powder diffraction line list of MgCo6O7F5. It was derived from a crystal structure in the Materials Project, relaxed with PBE+U, using λ = 1.5418 Å (Cu Kα).
Lines closer than 0.1° are merged.

Top 10 peaks for 10° ≤ 2θ ≤ 90°, by angle:
2θ/deg, I (rel.), (hkl)
22.38, 100, 1 1 1
28.11, 69, -1 1 1
35.34, 22, 0 2 -1
35.51, 16, 1 1 -2
35.81, 41, 0 0 3
36.11, 15, 0 2 2
47.97, 15, 1 3 0
48.96, 23, 2 0 3
54.82, 25, 2 -2 1
63.57, 15, 0 2 -4

Atomic structure:
```
data_MgCo6O7F5
_symmetry_space_group_name_H-M 'P 1'
_symmetry_Int_Tables_number 1
_symmetry_space_group_name_Hall 'P 1'
_cell_length_a 5.071
_cell_length_b 5.926
_cell_length_c 7.698
_cell_angle_alpha 79.10
_cell_angle_beta 82.11
_cell_angle_gamma 78.69
loop_
_atom_site_label
_atom_site_type_symbol
_atom_site_fract_x
_atom_site_fract_y
_atom_site_fract_z
Mg1 Mg 0.000 0.000 0.000
Co1 Co 0.003 0.495 0.986
Co2 Co 0.088 0.844 0.660
Co3 Co 0.100 0.223 0.340
Co4 Co 0.458 0.312 0.652
Co5 Co 0.504 0.650 0.324
Co6 Co 0.505 0.990 0.972
O1 O 0.197 0.205 0.087
O2 O 0.209 0.523 0.764
O3 O 0.241 0.886 0.419
O4 O 0.298 0.040 0.768
O5 O 0.318 0.379 0.423
O6 O 0.814 0.473 0.213
O7 O 0.840 0.794 0.878
F1 F 0.289 0.726 0.094
F2 F 0.670 0.574 0.548
F3 F 0.702 0.944 0.190
F4 F 0.726 0.261 0.883
F5 F 0.816 0.124 0.550
```

The following is a calculated powder diffraction line list of MgCo6O10F2. It was derived from a crystal structure in the Materials Project, relaxed with PBE+U, using λ = 1.5418 Å (Cu Kα).
Lines closer than 0.1° are merged.

Top 10 peaks for 10° ≤ 2θ ≤ 90°, by angle:
2θ/deg, I (rel.), (hkl)
24.64, 57, 1 0 -3
29.31, 100, 1 0 3
29.58, 55, 1 0 -4
36.05, 74, 1 1 0
36.75, 88, 0 1 3
53.08, 29, 2 1 -4
55.96, 23, 2 1 3
57.46, 35, 1 1 6
57.75, 23, 1 1 -7
65.69, 36, 3 1 -1

Atomic structure:
```
data_MgCo6O10F2
_symmetry_space_group_name_H-M 'P 1 m 1'
_symmetry_Int_Tables_number 6
_symmetry_space_group_name_Hall 'P -2y'
_cell_length_a 4.893
_cell_length_b 2.910
_cell_length_c 13.729
_cell_angle_alpha 90.00
_cell_angle_beta 99.74
_cell_angle_gamma 90.00
loop_
_atom_site_label
_atom_site_type_symbol
_atom_site_fract_x
_atom_site_fract_y
_atom_site_fract_z
Mg1 Mg 0.000 0.000 0.000
Co1 Co 0.073 0.000 0.196
Co2 Co 0.144 0.000 0.522
Co3 Co 0.286 0.000 0.799
Co4 Co 0.516 0.500 0.031
Co5 Co 0.637 0.500 0.341
Co6 Co 0.714 0.500 0.667
O1 O 0.190 0.500 0.110
O2 O 0.343 0.000 0.946
O3 O 0.432 0.000 0.278
O4 O 0.464 0.500 0.755
O5 O 0.510 0.000 0.602
O6 O 0.724 0.000 0.095
O7 O 0.810 0.000 0.414
O8 O 0.911 0.000 0.737
O9 O 0.936 0.500 0.258
O10 O 0.980 0.500 0.582
F1 F 0.297 0.500 0.443
F2 F 0.815 0.500 0.928
```

The following is a calculated powder diffraction line list of MgCo6O7F5. It was derived from a crystal structure in the Materials Project, relaxed with PBE+U, using λ = 1.5418 Å (Cu Kα).
Lines closer than 0.1° are merged.

Top 10 peaks for 10° ≤ 2θ ≤ 90°, by angle:
2θ/deg, I (rel.), (hkl)
20.69, 100, 1 1 0
28.34, 42, 1 -1 0
34.26, 14, 0 2 0
35.53, 14, 0 1 3
36.02, 22, 0 1 -3
36.40, 10, 2 0 0
42.09, 16, 2 2 0
45.93, 13, 1 2 3
47.17, 24, 2 1 3
48.44, 12, 2 1 -3

Atomic structure:
```
data_MgCo6O7F5
_symmetry_space_group_name_H-M 'P 1'
_symmetry_Int_Tables_number 1
_symmetry_space_group_name_Hall 'P 1'
_cell_length_a 5.178
_cell_length_b 5.491
_cell_length_c 8.583
_cell_angle_alpha 88.76
_cell_angle_beta 88.70
_cell_angle_gamma 72.47
loop_
_atom_site_label
_atom_site_type_symbol
_atom_site_fract_x
_atom_site_fract_y
_atom_site_fract_z
Mg1 Mg 0.000 0.000 0.000
Co1 Co 0.000 0.497 0.165
Co2 Co 0.005 0.502 0.819
Co3 Co 0.503 0.999 0.995
Co4 Co 0.511 0.008 0.654
Co5 Co 0.527 0.024 0.321
Co6 Co 0.999 0.499 0.493
O1 O 0.171 0.287 0.993
O2 O 0.190 0.315 0.324
O3 O 0.195 0.315 0.659
O4 O 0.670 0.129 0.145
O5 O 0.814 0.691 0.660
O6 O 0.819 0.690 0.324
O7 O 0.832 0.709 0.992
F1 F 0.317 0.860 0.844
F2 F 0.318 0.852 0.144
F3 F 0.350 0.868 0.475
F4 F 0.689 0.145 0.844
F5 F 0.689 0.170 0.483
```

The following is a calculated powder diffraction line list of MgCo6O6F6. It was derived from a crystal structure in the Materials Project, relaxed with PBE+U, using λ = 1.5418 Å (Cu Kα).
Lines closer than 0.1° are merged.

Top 10 peaks for 10° ≤ 2θ ≤ 90°, by angle:
2θ/deg, I (rel.), (hkl)
25.85, 100, 1 -1 0
25.96, 95, 1 1 0
34.91, 34, 0 1 -3
35.15, 30, 1 0 -3
35.60, 57, 0 1 3
42.82, 19, 2 1 -1
51.28, 20, 1 2 -3
51.51, 24, 1 -2 3
52.19, 31, -1 2 3
62.30, 20, 0 0 6

Atomic structure:
```
data_MgCo6O6F6
_symmetry_space_group_name_H-M 'P 1'
_symmetry_Int_Tables_number 1
_symmetry_space_group_name_Hall 'P 1'
_cell_length_a 4.832
_cell_length_b 4.898
_cell_length_c 8.945
_cell_angle_alpha 91.21
_cell_angle_beta 90.82
_cell_angle_gamma 90.22
loop_
_atom_site_label
_atom_site_type_symbol
_atom_site_fract_x
_atom_site_fract_y
_atom_site_fract_z
Mg1 Mg 0.000 0.000 0.000
Co1 Co 0.048 0.505 0.660
Co2 Co 0.067 0.490 0.002
Co3 Co 0.458 0.995 0.816
Co4 Co 0.532 0.062 0.173
Co5 Co 0.544 0.070 0.496
Co6 Co 0.946 0.540 0.332
O1 O 0.175 0.733 0.840
O2 O 0.343 0.215 0.658
O3 O 0.355 0.205 0.998
O4 O 0.674 0.868 0.332
O5 O 0.810 0.320 0.504
O6 O 0.847 0.294 0.153
F1 F 0.179 0.779 0.165
F2 F 0.187 0.745 0.493
F3 F 0.315 0.268 0.337
F4 F 0.681 0.775 0.999
F5 F 0.683 0.802 0.656
F6 F 0.849 0.237 0.837
```

The following is a calculated powder diffraction line list of CoNF3. It was derived from a crystal structure in the Materials Project, relaxed with PBE+U, using λ = 1.5418 Å (Cu Kα).
Lines closer than 0.1° are merged.

Top 8 peaks for 10° ≤ 2θ ≤ 90°, by angle:
2θ/deg, I (rel.), (hkl)
23.61, 100, 1 0 0
33.64, 54, 1 1 0
48.31, 49, 2 0 0
54.45, 37, 2 1 0
60.16, 18, 2 1 1
70.72, 25, 2 2 0
75.73, 16, 3 0 0
80.63, 7, 3 1 0

Atomic structure:
```
data_CoNF3
_symmetry_space_group_name_H-M 'P m -3 m'
_symmetry_Int_Tables_number 221
_symmetry_space_group_name_Hall '-P 4 2 3'
_cell_length_a 3.768
_cell_length_b 3.768
_cell_length_c 3.768
_cell_angle_alpha 90.00
_cell_angle_beta 90.00
_cell_angle_gamma 90.00
loop_
_atom_site_label
_atom_site_type_symbol
_atom_site_fract_x
_atom_site_fract_y
_atom_site_fract_z
Co1 Co 0.000 0.000 0.000
N1 N 0.500 0.500 0.500
F1 F 0.000 0.000 0.500
```

The following is a calculated powder diffraction line list of CoSb2N6F9. It was derived from a crystal structure in the Materials Project, relaxed with PBE+U, using λ = 1.5418 Å (Cu Kα).
Lines closer than 0.1° are merged.

Top 10 peaks for 10° ≤ 2θ ≤ 90°, by angle:
2θ/deg, I (rel.), (hkl)
11.85, 62, 1 0 -1
14.96, 100, 1 0 1
15.67, 22, 0 0 2
19.27, 25, 0 1 2
20.24, 66, 1 1 -2
23.71, 28, 0 2 1
24.96, 26, 1 2 0
26.17, 27, 0 1 3
27.00, 24, 1 2 1
37.91, 26, 1 1 4

Atomic structure:
```
data_CoSb2N6F9
_symmetry_space_group_name_H-M 'P 1 21 1'
_symmetry_Int_Tables_number 4
_symmetry_space_group_name_Hall 'P 2yb'
_cell_length_a 8.306
_cell_length_b 7.958
_cell_length_c 11.636
_cell_angle_alpha 90.00
_cell_angle_beta 103.91
_cell_angle_gamma 90.00
loop_
_atom_site_label
_atom_site_type_symbol
_atom_site_fract_x
_atom_site_fract_y
_atom_site_fract_z
Co1 Co 0.225 0.000 0.177
Sb1 Sb 0.025 0.120 0.583
Sb2 Sb 0.473 0.477 0.065
N1 N 0.007 0.158 0.127
N2 N 0.098 0.733 0.856
N3 N 0.155 0.842 0.234
N4 N 0.330 0.128 0.271
N5 N 0.435 0.304 0.665
N6 N 0.471 0.351 0.585
F1 F 0.062 0.348 0.626
F2 F 0.126 0.457 0.389
F3 F 0.138 0.688 0.553
F4 F 0.173 0.052 0.726
F5 F 0.182 0.071 0.496
F6 F 0.277 0.496 0.130
F7 F 0.298 0.944 0.049
F8 F 0.334 0.394 0.919
F9 F 0.481 0.744 0.884
```

The following is a calculated powder diffraction line list of NaCoF3. It was derived from a crystal structure in the Materials Project, relaxed with PBE+U, using λ = 1.5418 Å (Cu Kα).
Lines closer than 0.1° are merged.

Top 10 peaks for 10° ≤ 2θ ≤ 90°, by angle:
2θ/deg, I (rel.), (hkl)
17.20, 78, 0 2 0
23.64, 37, 0 0 2
29.39, 100, 0 2 2
30.21, 46, 1 1 0
39.22, 76, 1 3 0
41.09, 40, 1 3 1
46.31, 62, 1 3 2
58.10, 27, 1 1 4
59.11, 26, 0 6 2
59.21, 40, 1 5 2

Atomic structure:
```
data_NaCoF3
_symmetry_space_group_name_H-M 'C m c m'
_symmetry_Int_Tables_number 63
_symmetry_space_group_name_Hall '-C 2c 2'
_cell_length_a 3.088
_cell_length_b 10.309
_cell_length_c 7.526
_cell_angle_alpha 90.00
_cell_angle_beta 90.00
_cell_angle_gamma 90.00
loop_
_atom_site_label
_atom_site_type_symbol
_atom_site_fract_x
_atom_site_fract_y
_atom_site_fract_z
Na1 Na 0.000 0.246 0.250
Co1 Co 0.000 0.500 0.000
F1 F 0.000 0.129 0.559
F2 F 0.000 0.423 0.750
```

The following is a calculated powder diffraction line list of NaCoF4. It was derived from a crystal structure in the Materials Project, relaxed with PBE+U, using λ = 1.5418 Å (Cu Kα).
Lines closer than 0.1° are merged.

Top 10 peaks for 10° ≤ 2θ ≤ 90°, by angle:
2θ/deg, I (rel.), (hkl)
16.12, 53, 0 0 2
25.03, 100, 1 1 1
28.77, 54, 1 1 2
32.57, 21, 0 0 4
37.30, 25, 1 0 4
49.18, 42, 2 0 4
51.61, 17, 1 3 0
54.90, 17, 2 2 3
60.09, 13, 0 2 6
68.23, 13, 0 2 7

Atomic structure:
```
data_NaCoF4
_symmetry_space_group_name_H-M 'P b c n'
_symmetry_Int_Tables_number 60
_symmetry_space_group_name_Hall '-P 2n 2ab'
_cell_length_a 5.015
_cell_length_b 5.678
_cell_length_c 10.997
_cell_angle_alpha 90.00
_cell_angle_beta 90.00
_cell_angle_gamma 90.00
loop_
_atom_site_label
_atom_site_type_symbol
_atom_site_fract_x
_atom_site_fract_y
_atom_site_fract_z
Na1 Na 0.000 0.000 0.000
Co1 Co 0.000 0.345 0.250
F1 F 0.161 0.325 0.101
F2 F 0.247 0.085 0.314
```

Repeat the seventh record exactly.
The following is a calculated powder diffraction line list of MgCo6O6F6. It was derived from a crystal structure in the Materials Project, relaxed with PBE+U, using λ = 1.5418 Å (Cu Kα).
Lines closer than 0.1° are merged.

Top 10 peaks for 10° ≤ 2θ ≤ 90°, by angle:
2θ/deg, I (rel.), (hkl)
25.85, 100, 1 -1 0
25.96, 95, 1 1 0
34.91, 34, 0 1 -3
35.15, 30, 1 0 -3
35.60, 57, 0 1 3
42.82, 19, 2 1 -1
51.28, 20, 1 2 -3
51.51, 24, 1 -2 3
52.19, 31, -1 2 3
62.30, 20, 0 0 6

Atomic structure:
```
data_MgCo6O6F6
_symmetry_space_group_name_H-M 'P 1'
_symmetry_Int_Tables_number 1
_symmetry_space_group_name_Hall 'P 1'
_cell_length_a 4.832
_cell_length_b 4.898
_cell_length_c 8.945
_cell_angle_alpha 91.21
_cell_angle_beta 90.82
_cell_angle_gamma 90.22
loop_
_atom_site_label
_atom_site_type_symbol
_atom_site_fract_x
_atom_site_fract_y
_atom_site_fract_z
Mg1 Mg 0.000 0.000 0.000
Co1 Co 0.048 0.505 0.660
Co2 Co 0.067 0.490 0.002
Co3 Co 0.458 0.995 0.816
Co4 Co 0.532 0.062 0.173
Co5 Co 0.544 0.070 0.496
Co6 Co 0.946 0.540 0.332
O1 O 0.175 0.733 0.840
O2 O 0.343 0.215 0.658
O3 O 0.355 0.205 0.998
O4 O 0.674 0.868 0.332
O5 O 0.810 0.320 0.504
O6 O 0.847 0.294 0.153
F1 F 0.179 0.779 0.165
F2 F 0.187 0.745 0.493
F3 F 0.315 0.268 0.337
F4 F 0.681 0.775 0.999
F5 F 0.683 0.802 0.656
F6 F 0.849 0.237 0.837
```